1.
This entry pairs a crystal structure of NaLiN2 with its calculated X-ray diffraction stick pattern. Radiation: Cu Kα (weighted mean of Kα1 and Kα2). Structure: a crystal structure in Alexandria, relaxed with GGA-PBE.
Kinematic intensities with the Lorentz-polarization factor, no thermal factor.

Atomic structure:
Unit cell a=7.1962 b=7.1589 c=5.8538 alpha=90.00 beta=127.91 gamma=90.00
Atoms (fractional coordinates):
Na  0.0000  0.1252  0.0000
Na  0.0000  0.8748  0.5000
Na  0.5000  0.3748  0.5000
Na  0.5000  0.6252  0.0000
Li  0.0056  0.3754  0.5124
Li  0.0056  0.6246  0.0124
Li  0.5056  0.1246  0.0124
Li  0.5056  0.8754  0.5124
N  0.2169  0.1852  0.5547
N  0.2169  0.8148  0.0547
N  0.3361  0.0655  0.5543
N  0.3361  0.9345  0.0543
N  0.7169  0.3148  0.0547
N  0.7169  0.6852  0.5547
N  0.8361  0.4345  0.0543
N  0.8361  0.5655  0.5543

The 10 most intense peaks (2θ from 15° to 90°), in order of rising 2θ:
| 2θ (°) | d (Å) | intensity |
| --- | --- | --- |
| 19.96 | 4.448 | 100 |
| 34.06 | 2.632 | 44 |
| 35.37 | 2.538 | 59 |
| 39.01 | 2.309 | 32 |
| 40.86 | 2.208 | 16 |
| 41.03 | 2.200 | 16 |
| 49.85 | 1.829 | 10 |
| 49.99 | 1.824 | 10 |
| 53.67 | 1.708 | 27 |
| 66.04 | 1.415 | 9 |

***

2.
This entry pairs a crystal structure of NaLiNp4N8 with its calculated X-ray diffraction stick pattern. Radiation: Cu Kα (weighted mean of Kα1 and Kα2). Structure: a crystal structure in Alexandria, relaxed with GGA-PBE.
Kinematic intensities with the Lorentz-polarization factor, no thermal factor.

Atomic structure:
Unit cell a=6.3464 b=6.3464 c=6.3464 alpha=65.77 beta=65.77 gamma=65.77
Atoms (fractional coordinates):
Na  0.0000  0.0000  0.0000
Li  0.3826  0.3826  0.3826
Np  0.3783  0.3784  0.8825
Np  0.3783  0.8825  0.3783
Np  0.7831  0.7831  0.7831
Np  0.8825  0.3783  0.3783
N  0.1185  0.1185  0.5743
N  0.1185  0.5743  0.1185
N  0.1487  0.1487  0.1487
N  0.1741  0.6195  0.6195
N  0.5743  0.1185  0.1185
N  0.6195  0.1741  0.6195
N  0.6195  0.6195  0.1741
N  0.6255  0.6255  0.6255

The 10 most intense peaks (2θ from 15° to 90°), in order of rising 2θ:
| 2θ (°) | d (Å) | intensity |
| --- | --- | --- |
| 17.94 | 4.944 | 70 |
| 19.09 | 4.650 | 24 |
| 28.33 | 3.150 | 30 |
| 30.56 | 2.925 | 100 |
| 31.65 | 2.827 | 32 |
| 32.34 | 2.768 | 53 |
| 33.74 | 2.657 | 22 |
| 38.73 | 2.325 | 25 |
| 53.16 | 1.723 | 29 |
| 56.57 | 1.627 | 21 |

***

3.
This entry pairs a crystal structure of Li5NbN3 with its calculated X-ray diffraction stick pattern. Radiation: Cu Kα (weighted mean of Kα1 and Kα2). Structure: a crystal structure in Alexandria, relaxed with GGA-PBE.
Kinematic intensities with the Lorentz-polarization factor, no thermal factor.

Atomic structure:
Unit cell a=6.0821 b=6.0821 c=6.9741 alpha=106.74 beta=106.74 gamma=48.74
Atoms (fractional coordinates):
Li  0.0451  0.5900  0.8879
Li  0.0987  0.5682  0.4429
Li  0.2310  0.7690  0.7500
Li  0.4100  0.9549  0.6121
Li  0.4318  0.9013  0.0571
Li  0.5682  0.0987  0.9429
Li  0.5900  0.0451  0.3879
Li  0.7690  0.2310  0.2500
Li  0.9013  0.4318  0.5571
Li  0.9549  0.4100  0.1121
Nb  0.2641  0.7359  0.2500
Nb  0.7359  0.2641  0.7500
N  0.1193  0.1878  0.8253
N  0.1878  0.1193  0.3253
N  0.5000  0.5000  0.0000
N  0.5000  0.5000  0.5000
N  0.8122  0.8807  0.6747
N  0.8807  0.8122  0.1747

The 10 most intense peaks (2θ from 15° to 90°), in order of rising 2θ:
| 2θ (°) | d (Å) | intensity |
| --- | --- | --- |
| 16.87 | 5.256 | 95 |
| 22.22 | 4.000 | 100 |
| 25.30 | 3.521 | 69 |
| 26.94 | 3.310 | 62 |
| 30.54 | 2.927 | 37 |
| 36.35 | 2.472 | 20 |
| 37.21 | 2.416 | 24 |
| 43.10 | 2.099 | 20 |
| 45.35 | 2.000 | 27 |
| 51.92 | 1.761 | 49 |

***

4.
This entry pairs a crystal structure of LiNpNb4N8 with its calculated X-ray diffraction stick pattern. Radiation: Cu Kα (weighted mean of Kα1 and Kα2). Structure: a crystal structure in Alexandria, relaxed with GGA-PBE.
Kinematic intensities with the Lorentz-polarization factor, no thermal factor.

Atomic structure:
Unit cell a=6.1853 b=6.1853 c=6.1853 alpha=62.74 beta=62.74 gamma=62.74
Atoms (fractional coordinates):
Li  0.0000  0.0000  0.0000
Np  0.5874  0.5874  0.5874
Nb  0.3728  0.3728  0.3728
Nb  0.5131  0.9905  0.9905
Nb  0.9905  0.5131  0.9905
Nb  0.9905  0.9905  0.5131
N  0.1968  0.7673  0.7673
N  0.2387  0.2387  0.2387
N  0.2737  0.2737  0.7482
N  0.2737  0.7482  0.2737
N  0.7482  0.2737  0.2737
N  0.7488  0.7488  0.7488
N  0.7673  0.1968  0.7673
N  0.7673  0.7673  0.1968

The 10 most intense peaks (2θ from 15° to 90°), in order of rising 2θ:
| 2θ (°) | d (Å) | intensity |
| --- | --- | --- |
| 16.99 | 5.220 | 48 |
| 17.94 | 4.943 | 36 |
| 27.71 | 3.220 | 30 |
| 28.92 | 3.087 | 67 |
| 32.68 | 2.740 | 100 |
| 33.21 | 2.698 | 43 |
| 34.24 | 2.619 | 48 |
| 49.76 | 1.832 | 28 |
| 53.32 | 1.718 | 32 |
| 57.23 | 1.610 | 33 |

***

5.
This entry pairs a crystal structure of Li16Nb2N8O with its calculated X-ray diffraction stick pattern. Radiation: Cu Kα (weighted mean of Kα1 and Kα2). Structure: a crystal structure in Alexandria, relaxed with GGA-PBE.
Kinematic intensities with the Lorentz-polarization factor, no thermal factor.

Atomic structure:
Unit cell a=9.1955 b=9.1955 c=9.1955 alpha=38.12 beta=38.12 gamma=38.12
Atoms (fractional coordinates):
Li  0.0556  0.3323  0.6833
Li  0.0776  0.0776  0.0776
Li  0.1684  0.5790  0.8271
Li  0.1729  0.8316  0.4210
Li  0.3167  0.9444  0.6677
Li  0.3323  0.6833  0.0556
Li  0.4171  0.4171  0.4171
Li  0.4210  0.1729  0.8316
Li  0.5790  0.8271  0.1684
Li  0.5829  0.5829  0.5829
Li  0.6677  0.3167  0.9444
Li  0.6833  0.0556  0.3323
Li  0.8271  0.1684  0.5790
Li  0.8316  0.4210  0.1729
Li  0.9224  0.9224  0.9224
Li  0.9444  0.6677  0.3167
Nb  0.2494  0.2494  0.2494
Nb  0.7506  0.7506  0.7506
N  0.0883  0.4640  0.7741
N  0.2259  0.9117  0.5360
N  0.3268  0.3268  0.3268
N  0.4640  0.7741  0.0883
N  0.5360  0.2259  0.9117
N  0.6732  0.6732  0.6732
N  0.7741  0.0883  0.4640
N  0.9117  0.5360  0.2259
O  0.0000  0.0000  0.0000

The 10 most intense peaks (2θ from 15° to 90°), in order of rising 2θ:
| 2θ (°) | d (Å) | intensity |
| --- | --- | --- |
| 18.42 | 4.817 | 100 |
| 20.86 | 4.258 | 24 |
| 22.04 | 4.033 | 71 |
| 29.75 | 3.003 | 31 |
| 31.57 | 2.834 | 17 |
| 32.91 | 2.722 | 23 |
| 35.22 | 2.548 | 18 |
| 36.62 | 2.454 | 28 |
| 52.70 | 1.737 | 28 |
| 52.81 | 1.734 | 23 |

***

6.
This entry pairs a crystal structure of Li3Pa3NbN8 with its calculated X-ray diffraction stick pattern. Radiation: Cu Kα (weighted mean of Kα1 and Kα2). Structure: a crystal structure in Alexandria, relaxed with GGA-PBE.
Kinematic intensities with the Lorentz-polarization factor, no thermal factor.

Atomic structure:
Unit cell a=6.3656 b=6.3656 c=6.3656 alpha=65.89 beta=65.89 gamma=65.89
Atoms (fractional coordinates):
Li  0.0000  0.5000  0.5000
Li  0.5000  0.0000  0.5000
Li  0.5000  0.5000  0.0000
Pa  0.0000  0.0000  0.5000
Pa  0.0000  0.5000  0.0000
Pa  0.5000  0.0000  0.0000
Nb  0.5000  0.5000  0.5000
N  0.2377  0.2377  0.2377
N  0.2553  0.7262  0.7262
N  0.2738  0.2738  0.7447
N  0.2738  0.7447  0.2738
N  0.7262  0.2553  0.7262
N  0.7262  0.7262  0.2553
N  0.7447  0.2738  0.2738
N  0.7623  0.7623  0.7623

The 10 most intense peaks (2θ from 15° to 90°), in order of rising 2θ:
| 2θ (°) | d (Å) | intensity |
| --- | --- | --- |
| 17.91 | 4.954 | 100 |
| 30.41 | 2.939 | 75 |
| 32.19 | 2.780 | 54 |
| 36.27 | 2.477 | 14 |
| 38.59 | 2.333 | 56 |
| 42.84 | 2.111 | 28 |
| 52.87 | 1.732 | 42 |
| 56.30 | 1.634 | 30 |
| 58.44 | 1.579 | 16 |
| 65.82 | 1.419 | 16 |

***

7.
This entry pairs a crystal structure of Li2Nb2ReN6 with its calculated X-ray diffraction stick pattern. Radiation: Cu Kα (weighted mean of Kα1 and Kα2). Structure: a crystal structure in Alexandria, relaxed with GGA-PBE.
Kinematic intensities with the Lorentz-polarization factor, no thermal factor.

Atomic structure:
Unit cell a=5.2940 b=5.2940 c=5.4499 alpha=99.25 beta=99.25 gamma=119.78
Atoms (fractional coordinates):
Li  0.1649  0.8351  0.0000
Li  0.8351  0.1649  0.0000
Nb  0.3346  0.6654  0.5000
Nb  0.6654  0.3346  0.5000
Re  0.0000  0.0000  0.5000
N  0.0656  0.3934  0.7157
N  0.2476  0.2476  0.2831
N  0.3934  0.0656  0.7157
N  0.6066  0.9344  0.2843
N  0.7524  0.7524  0.7169
N  0.9344  0.6066  0.2843

The 10 most intense peaks (2θ from 15° to 90°), in order of rising 2θ:
| 2θ (°) | d (Å) | intensity |
| --- | --- | --- |
| 17.18 | 5.162 | 100 |
| 34.33 | 2.612 | 47 |
| 34.76 | 2.581 | 11 |
| 35.69 | 2.516 | 10 |
| 35.88 | 2.503 | 20 |
| 41.29 | 2.187 | 46 |
| 45.11 | 2.010 | 13 |
| 53.95 | 1.699 | 10 |
| 59.20 | 1.561 | 10 |
| 60.44 | 1.532 | 9 |

***

8.
This entry pairs a crystal structure of Li2NbSiN4 with its calculated X-ray diffraction stick pattern. Radiation: Cu Kα (weighted mean of Kα1 and Kα2). Structure: a crystal structure in Alexandria, relaxed with GGA-PBE.
Kinematic intensities with the Lorentz-polarization factor, no thermal factor.

Atomic structure:
Unit cell a=4.7012 b=4.7012 c=8.8105 alpha=90.00 beta=90.00 gamma=90.00
Atoms (fractional coordinates):
Li  0.0000  0.0000  0.0000
Li  0.0000  0.5000  0.2500
Li  0.5000  0.0000  0.7500
Li  0.5000  0.5000  0.5000
Nb  0.0000  0.0000  0.5000
Nb  0.5000  0.5000  0.0000
Si  0.0000  0.5000  0.7500
Si  0.5000  0.0000  0.2500
N  0.1929  0.7263  0.6316
N  0.2263  0.3071  0.8684
N  0.2737  0.1929  0.3684
N  0.3071  0.7737  0.1316
N  0.6929  0.2263  0.1316
N  0.7263  0.8071  0.3684
N  0.7737  0.6929  0.8684
N  0.8071  0.2737  0.6316

The 10 most intense peaks (2θ from 15° to 90°), in order of rising 2θ:
| 2θ (°) | d (Å) | intensity |
| --- | --- | --- |
| 20.16 | 4.405 | 10 |
| 21.42 | 4.148 | 100 |
| 26.82 | 3.324 | 11 |
| 33.78 | 2.654 | 62 |
| 36.06 | 2.491 | 19 |
| 44.29 | 2.045 | 22 |
| 53.61 | 1.710 | 16 |
| 55.27 | 1.662 | 10 |
| 57.32 | 1.607 | 18 |
| 66.36 | 1.409 | 15 |

***

9.
This entry pairs a crystal structure of LiSmNb2N4 with its calculated X-ray diffraction stick pattern. Radiation: Cu Kα (weighted mean of Kα1 and Kα2). Structure: a crystal structure in Alexandria, relaxed with GGA-PBE.
Kinematic intensities with the Lorentz-polarization factor, no thermal factor.

Atomic structure:
Unit cell a=5.4956 b=5.4956 c=10.6580 alpha=90.00 beta=90.00 gamma=145.39
Atoms (fractional coordinates):
Li  0.1599  0.8401  0.7500
Li  0.8401  0.1599  0.2500
Sm  0.1108  0.8892  0.2500
Sm  0.8892  0.1108  0.7500
Nb  0.3751  0.6249  0.0513
Nb  0.3751  0.6249  0.4487
Nb  0.6249  0.3751  0.5513
Nb  0.6249  0.3751  0.9487
N  0.0000  0.0000  0.0000
N  0.0000  0.0000  0.5000
N  0.2699  0.7301  0.6106
N  0.2699  0.7301  0.8894
N  0.4361  0.5639  0.2500
N  0.5639  0.4361  0.7500
N  0.7301  0.2699  0.1106
N  0.7301  0.2699  0.3894

The 10 most intense peaks (2θ from 15° to 90°), in order of rising 2θ:
| 2θ (°) | d (Å) | intensity |
| --- | --- | --- |
| 29.83 | 2.995 | 39 |
| 30.38 | 2.942 | 100 |
| 33.27 | 2.693 | 78 |
| 34.18 | 2.623 | 40 |
| 38.63 | 2.331 | 52 |
| 41.43 | 2.179 | 45 |
| 51.95 | 1.760 | 31 |
| 54.76 | 1.676 | 30 |
| 57.99 | 1.590 | 28 |
| 65.31 | 1.429 | 22 |

***

10.
This entry pairs a crystal structure of LiTbNb2N4 with its calculated X-ray diffraction stick pattern. Radiation: Cu Kα (weighted mean of Kα1 and Kα2). Structure: a crystal structure in Alexandria, relaxed with GGA-PBE.
Kinematic intensities with the Lorentz-polarization factor, no thermal factor.

Atomic structure:
Unit cell a=4.5382 b=4.5382 c=8.8249 alpha=90.00 beta=90.00 gamma=90.00
Atoms (fractional coordinates):
Li  0.0000  0.0000  0.0000
Li  0.5000  0.5000  0.5000
Tb  0.0000  0.0000  0.5000
Tb  0.5000  0.5000  0.0000
Nb  0.0000  0.5000  0.2500
Nb  0.0000  0.5000  0.7500
Nb  0.5000  0.0000  0.2500
Nb  0.5000  0.0000  0.7500
N  0.0000  0.0000  0.2394
N  0.0000  0.0000  0.7606
N  0.0000  0.5000  0.0000
N  0.0000  0.5000  0.5000
N  0.5000  0.0000  0.0000
N  0.5000  0.0000  0.5000
N  0.5000  0.5000  0.2606
N  0.5000  0.5000  0.7394

The 10 most intense peaks (2θ from 15° to 90°), in order of rising 2θ:
| 2θ (°) | d (Å) | intensity |
| --- | --- | --- |
| 22.02 | 4.036 | 79 |
| 34.56 | 2.595 | 100 |
| 36.40 | 2.468 | 24 |
| 39.72 | 2.269 | 62 |
| 40.90 | 2.206 | 28 |
| 45.88 | 1.978 | 23 |
| 57.43 | 1.605 | 20 |
| 58.34 | 1.582 | 38 |
| 68.79 | 1.365 | 29 |
| 72.90 | 1.298 | 19 |

***

11.
This entry pairs a crystal structure of LiThNbN3 with its calculated X-ray diffraction stick pattern. Radiation: Cu Kα (weighted mean of Kα1 and Kα2). Structure: a crystal structure in Alexandria, relaxed with GGA-PBE.
Kinematic intensities with the Lorentz-polarization factor, no thermal factor.

Atomic structure:
Unit cell a=6.7158 b=3.3004 c=7.0059 alpha=90.00 beta=105.08 gamma=90.00
Atoms (fractional coordinates):
Li  0.0836  0.2500  0.0905
Li  0.9164  0.7500  0.9095
Th  0.1982  0.2500  0.7245
Th  0.8018  0.7500  0.2755
Nb  0.3302  0.7500  0.3205
Nb  0.6698  0.2500  0.6795
N  0.1123  0.2500  0.3671
N  0.2167  0.7500  0.0280
N  0.4403  0.7500  0.6574
N  0.5597  0.2500  0.3426
N  0.7833  0.2500  0.9720
N  0.8877  0.7500  0.6329

The 10 most intense peaks (2θ from 15° to 90°), in order of rising 2θ:
| 2θ (°) | d (Å) | intensity |
| --- | --- | --- |
| 16.29 | 5.441 | 29 |
| 21.31 | 4.170 | 28 |
| 26.35 | 3.382 | 61 |
| 27.51 | 3.242 | 40 |
| 30.13 | 2.966 | 100 |
| 32.92 | 2.721 | 38 |
| 38.73 | 2.325 | 68 |
| 38.94 | 2.313 | 35 |
| 51.05 | 1.789 | 28 |
| 51.87 | 1.763 | 25 |

***

12.
This entry pairs a crystal structure of LiThNb4N8 with its calculated X-ray diffraction stick pattern. Radiation: Cu Kα (weighted mean of Kα1 and Kα2). Structure: a crystal structure in Alexandria, relaxed with GGA-PBE.
Kinematic intensities with the Lorentz-polarization factor, no thermal factor.

Atomic structure:
Unit cell a=6.3457 b=6.3457 c=6.3457 alpha=61.07 beta=61.07 gamma=61.07
Atoms (fractional coordinates):
Li  0.0000  0.0000  0.0000
Th  0.3926  0.3926  0.3926
Nb  0.0047  0.0047  0.4858
Nb  0.0047  0.4858  0.0047
Nb  0.4858  0.0047  0.0047
Nb  0.6220  0.6220  0.6220
N  0.2316  0.2316  0.8125
N  0.2316  0.8125  0.2316
N  0.2408  0.2408  0.2408
N  0.2483  0.7300  0.7300
N  0.7300  0.2483  0.7300
N  0.7300  0.7300  0.2483
N  0.7557  0.7557  0.7557
N  0.8125  0.2316  0.2316

The 10 most intense peaks (2θ from 15° to 90°), in order of rising 2θ:
| 2θ (°) | d (Å) | intensity |
| --- | --- | --- |
| 16.89 | 5.251 | 44 |
| 27.67 | 3.224 | 30 |
| 28.13 | 3.172 | 86 |
| 32.59 | 2.748 | 100 |
| 32.79 | 2.731 | 62 |
| 33.19 | 2.699 | 51 |
| 49.22 | 1.851 | 35 |
| 52.54 | 1.742 | 31 |
| 57.14 | 1.612 | 34 |
| 58.17 | 1.586 | 25 |